1.
This entry pairs a crystal structure of CoIrRu with its computed X-ray powder pattern. Radiation: Cu Kα (weighted mean of Kα1 and Kα2). Structure: DFT lattice parameters and positions (PBE).
Lines closer than 0.1° are merged.

Structural model:
```
CoIrRu
1.0
1.3354 -7.5290 0.0000
1.3354 7.5290 0.0000
0.0000 0.0000 3.9301
Co Ir Ru
2 2 2
Cartesian
1.3354 6.9203 2.9475
1.3354 -6.9203 0.9825
1.3354 1.7013 2.9475
1.3354 -1.7013 0.9825
1.3354 4.3899 2.9475
1.3354 -4.3899 0.9825
```

Top 10 peaks for 10° ≤ 2θ ≤ 90°, sorted by position:
23.63°, d 3.764, I = 16.5
25.57°, d 3.484, I = 33.3
41.31°, d 2.186, I = 100.0
42.75°, d 2.115, I = 89.4
44.83°, d 2.022, I = 23.7
45.39°, d 1.998, I = 57.1
46.20°, d 1.965, I = 39.9
66.77°, d 1.401, I = 35.8
82.99°, d 1.164, I = 22.3
86.11°, d 1.129, I = 23.5



2.
This entry pairs a crystal structure of Co3Ir12Ru with its computed X-ray powder pattern. Radiation: Cu Kα (weighted mean of Kα1 and Kα2). Structure: DFT lattice parameters and positions (PBE).
Lines closer than 0.1° are merged.

Structural model:
```
Co3Ir12Ru
1.0
3.8120 0.0000 0.0000
0.0000 3.8120 0.0000
0.0000 0.0000 15.2716
Co Ir Ru
3 12 1
Cartesian
0.0000 0.0000 0.0000
0.0000 0.0000 3.7474
0.0000 0.0000 11.5242
0.0000 1.9060 1.8957
0.0000 1.9060 5.7048
0.0000 1.9060 9.5668
0.0000 1.9060 13.3759
1.9060 0.0000 1.8957
1.9060 0.0000 5.7048
1.9060 0.0000 9.5668
1.9060 0.0000 13.3759
1.9060 1.9060 0.0000
1.9060 1.9060 3.8028
1.9060 1.9060 7.6358
1.9060 1.9060 11.4688
0.0000 0.0000 7.6358
```

Top 10 peaks for 10° ≤ 2θ ≤ 90°, sorted by position:
23.32°, d 3.814, I = 10.4
33.22°, d 2.697, I = 8.8
40.99°, d 2.202, I = 100.0
47.69°, d 1.907, I = 48.7
53.74°, d 1.706, I = 4.8
59.36°, d 1.557, I = 3.6
69.74°, d 1.348, I = 31.3
84.12°, d 1.151, I = 12.7
84.23°, d 1.150, I = 25.6
88.89°, d 1.101, I = 11.5



Copy entry 2 word for word.
This entry pairs a crystal structure of Co3Ir12Ru with its computed X-ray powder pattern. Radiation: Cu Kα (weighted mean of Kα1 and Kα2). Structure: DFT lattice parameters and positions (PBE).
Lines closer than 0.1° are merged.

Structural model:
```
Co3Ir12Ru
1.0
3.8120 0.0000 0.0000
0.0000 3.8120 0.0000
0.0000 0.0000 15.2716
Co Ir Ru
3 12 1
Cartesian
0.0000 0.0000 0.0000
0.0000 0.0000 3.7474
0.0000 0.0000 11.5242
0.0000 1.9060 1.8957
0.0000 1.9060 5.7048
0.0000 1.9060 9.5668
0.0000 1.9060 13.3759
1.9060 0.0000 1.8957
1.9060 0.0000 5.7048
1.9060 0.0000 9.5668
1.9060 0.0000 13.3759
1.9060 1.9060 0.0000
1.9060 1.9060 3.8028
1.9060 1.9060 7.6358
1.9060 1.9060 11.4688
0.0000 0.0000 7.6358
```

Top 10 peaks for 10° ≤ 2θ ≤ 90°, sorted by position:
23.32°, d 3.814, I = 10.4
33.22°, d 2.697, I = 8.8
40.99°, d 2.202, I = 100.0
47.69°, d 1.907, I = 48.7
53.74°, d 1.706, I = 4.8
59.36°, d 1.557, I = 3.6
69.74°, d 1.348, I = 31.3
84.12°, d 1.151, I = 12.7
84.23°, d 1.150, I = 25.6
88.89°, d 1.101, I = 11.5